(1)
Structure and calculated X-ray diffraction stick pattern of Ba2CaI6 (a structure optimized by DFT (PBE); a wavelength of 1.5418 Å).
Kinematic intensities with the Lorentz-polarization factor, no thermal factor.

The 10 most intense peaks (2θ from 5° to 70°), by angle:
Position (°2θ)	I/Imax	(hkl)
17.9	52	1 3 0
21.7	59	1 3 -2
25.6	61	2 3 0
26.1	53	1 0 2
26.9	32	3 0 -2
29.2	85	0 6 0
30.0	99	1 3 2
30.7	100	3 3 -2
32.4	47	2 0 -4
45.4	35	3 0 2

Structure:
```
data_Ba2CaI6
_chemical_formula_sum 'Ba8 Ca4 I24'
_space_group_name_H-M_alt 'P 1 21/c 1'
_space_group_IT_number 14
_cell_length_a 9.9688
_cell_length_b 18.3326
_cell_length_c 11.0746
_cell_angle_alpha 90.00
_cell_angle_beta 121.87
_cell_angle_gamma 90.00
loop_
_space_group_symop_operation_xyz
'x,y,z'
'-x,-y,-z'
'-x,y+1/2,-z+1/2'
'x,-y+1/2,z+1/2'
loop_
_atom_site_label
_atom_site_type_symbol
_atom_site_fract_x
_atom_site_fract_y
_atom_site_fract_z
Ba1 Ba 0.2193 0.0775 0.4514
Ba2 Ba 0.2566 0.7437 0.0067
Ca1 Ca 0.3227 0.0888 0.0228
I1 I 0.0378 0.7214 0.1546
I2 I 0.0636 0.0756 0.6859
I3 I 0.0665 0.1024 0.0955
I4 I 0.4089 0.5817 0.5477
I5 I 0.4550 0.2420 0.6060
I6 I 0.4581 0.5747 0.1278
```

=====

(2)
Structure and calculated X-ray diffraction stick pattern of Ba6Ca11I34 (a structure optimized by DFT (PBE); a wavelength of 1.5418 Å).
Kinematic intensities with the Lorentz-polarization factor, no thermal factor.

The 10 most intense peaks (2θ from 5° to 70°), by angle:
Position (°2θ)	I/Imax	(hkl)
24.0	25	3 2 2
25.2	100	0 4 0
25.6	67	1 -1 4
25.9	73	-2 1 2
26.0	62	3 3 2
27.5	57	3 -1 2
27.8	58	2 3 -2
28.3	78	1 3 4
41.4	24	4 2 6
41.6	25	1 0 -6

Structure:
```
data_Ba6Ca11I34
_chemical_formula_sum 'Ba6 Ca11 I34'
_space_group_name_H-M_alt 'P -1'
_space_group_IT_number 2
_cell_length_a 11.5755
_cell_length_b 14.9064
_cell_length_c 15.0472
_cell_angle_alpha 81.82
_cell_angle_beta 70.78
_cell_angle_gamma 71.77
loop_
_space_group_symop_operation_xyz
'x,y,z'
'-x,-y,-z'
loop_
_atom_site_label
_atom_site_type_symbol
_atom_site_fract_x
_atom_site_fract_y
_atom_site_fract_z
Ba1 Ba 0.0983 0.4332 0.2261
Ba2 Ba 0.1580 0.1589 0.9737
Ba3 Ba 0.2650 0.8405 0.6779
Ca1 Ca 0.1874 0.7451 0.3048
Ca2 Ca 0.2234 0.2383 0.6198
Ca3 Ca 0.3055 0.5023 0.8143
Ca4 Ca 0.3075 0.0086 0.2964
Ca5 Ca 0.3945 0.7479 0.9856
Ca6 Ca 0.5000 0.5000 0.5000
I1 I 0.0240 0.6127 0.4177
I2 I 0.0403 0.6238 0.9258
I3 I 0.0510 0.1125 0.7420
I4 I 0.0622 0.1460 0.2420
I5 I 0.1479 0.3652 0.7955
I6 I 0.1544 0.8886 0.9308
I7 I 0.1852 0.8734 0.4585
I8 I 0.2251 0.6139 0.6357
I9 I 0.2476 0.6179 0.1333
I10 I 0.3222 0.1114 0.4496
I11 I 0.3307 0.8708 0.1517
I12 I 0.3335 0.3747 0.9940
I13 I 0.3947 0.0986 0.7389
I14 I 0.3988 0.3436 0.4695
I15 I 0.4258 0.1237 0.1149
I16 I 0.4506 0.6513 0.8028
I17 I 0.4570 0.6252 0.3221
```

=====

(3)
Structure and calculated X-ray diffraction stick pattern of BaCaI4 (a structure optimized by DFT (PBE); a wavelength of 1.5418 Å).
Kinematic intensities with the Lorentz-polarization factor, no thermal factor.

The 10 most intense peaks (2θ from 5° to 70°), by angle:
Position (°2θ)	I/Imax	(hkl)
17.6	32	1 1 -1
20.1	30	1 1 1
22.5	41	2 0 0
25.6	50	1 2 -1
27.4	40	1 2 1
28.3	58	2 0 -2
28.5	32	1 1 2
30.6	54	0 2 2
31.2	100	2 2 0
34.4	46	2 0 2

Structure:
```
data_BaCaI4
_chemical_formula_sum 'Ba2 Ca2 I8'
_space_group_name_H-M_alt 'P 1 2/c 1'
_space_group_IT_number 13
_cell_length_a 8.0372
_cell_length_b 8.3405
_cell_length_c 8.3270
_cell_angle_alpha 90.00
_cell_angle_beta 100.88
_cell_angle_gamma 90.00
loop_
_space_group_symop_operation_xyz
'x,y,z'
'-x,-y,-z'
'-x,y,-z+1/2'
'x,-y,z+1/2'
loop_
_atom_site_label
_atom_site_type_symbol
_atom_site_fract_x
_atom_site_fract_y
_atom_site_fract_z
Ba1 Ba 0.0000 0.2282 0.2500
Ca1 Ca 0.5000 0.3296 0.7500
I1 I 0.2526 0.4430 0.9889
I2 I 0.2568 0.0605 0.5927
```

=====

(4)
Structure and calculated X-ray diffraction stick pattern of BaCaI4 (a structure optimized by DFT (PBE); a wavelength of 1.5418 Å).
Kinematic intensities with the Lorentz-polarization factor, no thermal factor.

The 10 most intense peaks (2θ from 5° to 70°), by angle:
Position (°2θ)	I/Imax	(hkl)
16.3	71	1 1 1
21.7	32	2 0 0
22.1	43	0 0 2
24.9	61	2 1 1
25.7	97	1 4 1
29.1	33	1 3 2
29.9	82	2 4 0
30.3	100	0 4 2
31.2	98	2 0 2
44.5	41	1 8 1

Structure:
```
data_BaCaI4
_chemical_formula_sum 'Ba4 Ca4 I16'
_space_group_name_H-M_alt 'P b c n'
_space_group_IT_number 60
_cell_length_a 8.1925
_cell_length_b 17.4251
_cell_length_c 8.0395
_cell_angle_alpha 90.00
_cell_angle_beta 90.00
_cell_angle_gamma 90.00
loop_
_space_group_symop_operation_xyz
'x,y,z'
'-x,-y,-z'
'-x+1/2,-y+1/2,z+1/2'
'x+1/2,y+1/2,-z+1/2'
'x+1/2,-y+1/2,-z'
'-x+1/2,y+1/2,z'
'-x,y,-z+1/2'
'x,-y,z+1/2'
loop_
_atom_site_label
_atom_site_type_symbol
_atom_site_fract_x
_atom_site_fract_y
_atom_site_fract_z
Ba1 Ba 0.0000 0.1360 0.2500
Ca1 Ca 0.0000 0.4123 0.2500
I1 I 0.1590 0.2893 0.0239
I2 I 0.2495 0.0185 0.9981
```

=====

(5)
Structure and calculated X-ray diffraction stick pattern of BaCaI4 (a structure optimized by DFT (PBE); a wavelength of 1.5418 Å).
Kinematic intensities with the Lorentz-polarization factor, no thermal factor.

The 10 most intense peaks (2θ from 5° to 70°), by angle:
Position (°2θ)	I/Imax	(hkl)
19.0	24	1 0 1
21.8	14	0 0 2
22.1	29	1 1 0
31.2	100	1 1 2
31.4	50	2 0 0
38.5	13	2 0 2
45.0	18	2 2 0
55.3	18	2 0 4
55.7	37	3 1 2
65.0	11	2 2 4

Structure:
```
data_BaCaI4
_chemical_formula_sum 'Ba1 Ca1 I4'
_space_group_name_H-M_alt 'P 4/m m m'
_space_group_IT_number 123
_space_group_name_Hall '-P 4 2'
_cell_length_a 5.7005
_cell_length_b 5.7005
_cell_length_c 8.1685
_cell_angle_alpha 90.00
_cell_angle_beta 90.00
_cell_angle_gamma 90.00
loop_
_atom_site_label
_atom_site_type_symbol
_atom_site_fract_x
_atom_site_fract_y
_atom_site_fract_z
Ba1 Ba 0.0000 0.0000 0.0000
Ca1 Ca 0.5000 0.5000 0.5000
I1 I 0.0000 0.5000 0.2646
```

=====

(6)
Structure and calculated X-ray diffraction stick pattern of BaCaI4 (a structure optimized by DFT (PBE); a wavelength of 1.5418 Å).
Kinematic intensities with the Lorentz-polarization factor, no thermal factor.

The 10 most intense peaks (2θ from 5° to 70°), by angle:
Position (°2θ)	I/Imax	(hkl)
18.9	23	0 1 2
22.0	55	1 0 4
31.1	100	1 1 0
31.5	90	0 1 8
38.4	13	0 2 4
44.8	33	2 0 8
50.1	12	2 1 4
55.2	19	3 0 0
55.5	35	1 2 8
56.3	14	1 0 16

Structure:
```
data_BaCaI4
_chemical_formula_sum 'Ba3 Ca3 I12'
_space_group_name_H-M_alt 'R -3 m'
_space_group_IT_number 166
_space_group_name_Hall '-R 3 2"'
_cell_length_a 5.7604
_cell_length_b 5.7604
_cell_length_c 27.6650
_cell_angle_alpha 90.00
_cell_angle_beta 90.00
_cell_angle_gamma 120.00
loop_
_atom_site_label
_atom_site_type_symbol
_atom_site_fract_x
_atom_site_fract_y
_atom_site_fract_z
Ba1 Ba 0.0000 0.0000 0.0000
Ca1 Ca 0.0000 0.0000 0.5000
I1 I 0.0000 0.0000 0.1309
I2 I 0.0000 0.0000 0.3811
```

=====

(7)
Structure and calculated X-ray diffraction stick pattern of BaCaI4 (a structure optimized by DFT (PBE); a wavelength of 1.5418 Å).
Kinematic intensities with the Lorentz-polarization factor, no thermal factor.

The 10 most intense peaks (2θ from 5° to 70°), by angle:
Position (°2θ)	I/Imax	(hkl)
19.3	28	0 4 1
21.8	32	1 3 1
22.9	25	0 2 2
24.9	31	1 5 0
26.3	33	1 1 2
27.2	80	1 5 1
28.7	100	1 3 2
29.4	71	2 0 0
34.2	37	0 8 1
45.7	32	2 8 1

Structure:
```
data_BaCaI4
_chemical_formula_sum 'Ba4 Ca4 I16'
_space_group_name_H-M_alt 'C m c 21'
_space_group_IT_number 36
_cell_length_a 6.0832
_cell_length_b 22.0915
_cell_length_c 8.3008
_cell_angle_alpha 90.00
_cell_angle_beta 90.00
_cell_angle_gamma 90.00
loop_
_space_group_symop_operation_xyz
'x,y,z'
'-x,-y,z+1/2'
'-x,y,z'
'x,-y,z+1/2'
'x+1/2,y+1/2,z'
'-x+1/2,-y+1/2,z+1/2'
'-x+1/2,y+1/2,z'
'x+1/2,-y+1/2,z+1/2'
loop_
_atom_site_label
_atom_site_type_symbol
_atom_site_fract_x
_atom_site_fract_y
_atom_site_fract_z
Ba1 Ba 0.0000 0.1625 0.0000
Ca1 Ca 0.0000 0.4090 0.0807
I1 I 0.0000 0.0905 0.6130
I2 I 0.0000 0.2874 0.2860
I3 I 0.0000 0.3310 0.7698
I4 I 0.0000 0.4605 0.4371
```

=====

(8)
Structure and calculated X-ray diffraction stick pattern of Ba2CaI6 (a structure optimized by DFT (PBE); a wavelength of 1.5418 Å).
Kinematic intensities with the Lorentz-polarization factor, no thermal factor.

The 10 most intense peaks (2θ from 5° to 70°), by angle:
Position (°2θ)	I/Imax	(hkl)
17.2	15	1 0 1
24.3	100	1 1 1
32.6	46	2 -1 2
36.6	38	3 0 0
43.3	17	2 -1 3
44.4	19	4 -2 1
49.8	13	2 2 2
58.8	16	4 1 1
63.4	12	5 -1 2
64.2	13	3 0 4

Structure:
```
data_Ba2CaI6
_chemical_formula_sum 'Ba2 Ca1 I6'
_space_group_name_H-M_alt 'P -3 1 m'
_space_group_IT_number 162
_space_group_name_Hall '-P 3 2'
_cell_length_a 8.5088
_cell_length_b 8.5088
_cell_length_c 7.1967
_cell_angle_alpha 90.00
_cell_angle_beta 90.00
_cell_angle_gamma 120.00
loop_
_atom_site_label
_atom_site_type_symbol
_atom_site_fract_x
_atom_site_fract_y
_atom_site_fract_z
Ba1 Ba 0.3333 0.6667 0.0000
Ca1 Ca 0.0000 0.0000 0.5000
I1 I 0.0000 0.3194 0.7340
```